# 1
# Tb7Er16Th6
Theoretical PXRD pattern, copper Kα. Input: DFT lattice parameters and positions (PBE).
Kinematic intensities with the Lorentz-polarization factor, no thermal factor.

Cell and atoms:
```
29
Lattice="0.000 7.787 7.787 7.787 0.000 7.787 7.787 7.787 0.000" Properties=species:S:1:pos:R:3 pbc="T T T"
Tb 0.000 0.000 0.000
Tb 3.893 3.893 0.000
Tb 3.893 0.000 3.893
Tb 7.787 3.893 3.893
Tb 0.000 3.893 3.893
Tb 3.893 7.787 3.893
Tb 3.893 3.893 7.787
Er 10.256 5.318 5.318
Er 1.876 1.876 1.876
Er 5.911 5.911 1.876
Er 5.911 1.876 5.911
Er 5.318 5.318 5.318
Er 10.256 10.256 5.318
Er 10.256 5.318 10.256
Er 13.698 9.663 9.663
Er 1.876 5.911 5.911
Er 5.318 10.256 5.318
Er 5.318 5.318 10.256
Er 10.256 10.256 10.256
Er 9.663 13.698 9.663
Er 9.663 9.663 13.698
Er 13.698 13.698 13.698
Er 5.318 10.256 10.256
Th 7.787 7.787 5.147
Th 7.787 5.147 7.787
Th 10.426 7.787 7.787
Th 5.147 7.787 7.787
Th 7.787 10.426 7.787
Th 7.787 7.787 10.426
```

Most intense lines, 2θ from 10° to 90°, in order of rising 2θ:
d = 3.179 Å, intensity 30
d = 2.997 Å, intensity 91
d = 2.753 Å, intensity 100
d = 2.632 Å, intensity 25
d = 2.596 Å, intensity 39
d = 2.348 Å, intensity 23
d = 1.835 Å, intensity 25
d = 1.565 Å, intensity 40

***

# 2
# Ba2Ti6N2O11
Theoretical PXRD pattern, copper Kα. Input: DFT lattice parameters and positions (PBE).
Kinematic intensities with the Lorentz-polarization factor, no thermal factor.

Cell and atoms:
```
21
Lattice="7.691 -1.975 0.000 7.691 1.975 0.000 -1.373 0.000 9.137" Properties=species:S:1:pos:R:3 pbc="T T T"
Ba 0.000 0.000 0.000
Ba 0.804 0.000 4.959
Ti 3.307 0.000 9.018
Ti 5.487 0.000 2.962
Ti 5.729 0.000 6.178
Ti 9.228 0.000 7.920
Ti 10.894 0.000 1.764
Ti 11.416 0.000 4.849
N 1.729 0.000 7.934
N 12.141 0.000 0.080
O 3.646 0.000 1.784
O 4.095 0.000 4.787
O 4.789 0.000 7.785
O 6.362 0.000 1.404
O 6.745 0.000 4.284
O 7.400 0.000 6.955
O 9.504 0.000 0.582
O 10.049 0.000 3.489
O 10.146 0.000 6.127
O 12.668 0.000 3.070
O 13.177 0.000 5.932
```

Most intense lines, 2θ from 10° to 90°, in order of rising 2θ:
d = 4.568 Å, intensity 69
d = 3.116 Å, intensity 90
d = 3.035 Å, intensity 100
d = 2.986 Å, intensity 100
d = 2.879 Å, intensity 63
d = 2.870 Å, intensity 72
d = 2.087 Å, intensity 76
d = 1.975 Å, intensity 66

***

# 3
# CsTe2Br4
Theoretical PXRD pattern, copper Kα. Input: DFT lattice parameters and positions (PBE).
Kinematic intensities with the Lorentz-polarization factor, no thermal factor.

Cell and atoms:
```
14
Lattice="0.000 7.942 8.388 5.181 0.000 8.388 5.181 7.942 0.000" Properties=species:S:1:pos:R:3 pbc="T T T"
Cs 0.000 0.000 0.000
Cs 2.591 3.971 4.194
Te 6.458 6.941 4.733
Te 3.904 8.943 4.733
Te 6.458 8.943 12.043
Te 3.904 6.941 12.043
Br 7.062 8.930 6.508
Br 7.062 6.954 10.268
Br 9.782 10.544 11.034
Br 3.300 6.954 6.508
Br 9.782 13.281 14.130
Br 3.300 8.930 10.268
Br 5.762 13.281 11.034
Br 5.762 10.544 14.130
```

Most intense lines, 2θ from 10° to 90°, in order of rising 2θ:
d = 8.388 Å, intensity 72
d = 7.942 Å, intensity 41
d = 4.539 Å, intensity 22
d = 3.605 Å, intensity 100
d = 3.309 Å, intensity 54
d = 3.016 Å, intensity 25
d = 2.521 Å, intensity 23
d = 2.361 Å, intensity 25

***

# 4
# Cs3Be2F8
Theoretical PXRD pattern, copper Kα. Input: DFT lattice parameters and positions (PBE).
Kinematic intensities with the Lorentz-polarization factor, no thermal factor.

Cell and atoms:
```
13
Lattice="3.079 1.777 7.670 -3.079 1.777 7.670 0.000 -3.555 7.670" Properties=species:S:1:pos:R:3 pbc="T T T"
Cs 0.000 0.000 0.000
Cs 0.000 0.000 4.810
Cs 0.000 0.000 18.199
Be 0.000 0.000 9.457
Be 0.000 0.000 13.551
F -1.289 -0.744 13.066
F 0.000 -1.488 9.943
F -1.289 0.744 9.943
F 0.000 0.000 7.889
F 0.000 0.000 15.120
F 1.289 -0.744 13.066
F 0.000 1.488 13.066
F 1.289 0.744 9.943
```

Most intense lines, 2θ from 10° to 90°, in order of rising 2θ:
d = 5.195 Å, intensity 28
d = 3.911 Å, intensity 34
d = 3.484 Å, intensity 100
d = 3.079 Å, intensity 82
d = 2.419 Å, intensity 26
d = 2.307 Å, intensity 40
d = 1.967 Å, intensity 28
d = 1.846 Å, intensity 23

***

# 5
# NaPuNb2O8
Theoretical PXRD pattern, copper Kα. Input: DFT lattice parameters and positions (PBE).
Kinematic intensities with the Lorentz-polarization factor, no thermal factor.

Cell and atoms:
```
12
Lattice="5.107 0.000 0.000 -0.146 5.118 0.000 -0.144 -0.230 6.342" Properties=species:S:1:pos:R:3 pbc="T T T"
Na 0.000 0.000 0.000
Pu -0.072 -0.115 3.171
Nb 2.450 2.274 1.538
Nb 2.367 2.613 4.803
O 0.885 0.873 4.510
O 1.016 1.106 1.623
O 1.454 3.374 3.222
O 1.619 3.496 0.025
O 3.198 1.392 6.317
O 3.363 1.513 3.119
O 3.801 3.782 4.718
O 3.932 4.015 1.832
```

Most intense lines, 2θ from 10° to 90°, in order of rising 2θ:
d = 6.342 Å, intensity 68
d = 3.912 Å, intensity 40
d = 3.667 Å, intensity 100
d = 3.561 Å, intensity 85
d = 2.740 Å, intensity 36
d = 2.722 Å, intensity 36
d = 2.554 Å, intensity 39
d = 1.872 Å, intensity 31

***

# 6
# I
Theoretical PXRD pattern, copper Kα. Input: DFT lattice parameters and positions (PBE).
Kinematic intensities with the Lorentz-polarization factor, no thermal factor.

Cell and atoms:
```
1
Lattice="2.833 -3.071 0.000 2.833 3.071 0.000 0.000 0.000 2.947" Properties=species:S:1:pos:R:3 pbc="T T T"
I 0.000 0.000 0.000
```

Most intense lines, 2θ from 10° to 90°, in order of rising 2θ:
d = 4.165 Å, intensity 100
d = 3.071 Å, intensity 23
d = 2.947 Å, intensity 21
d = 2.833 Å, intensity 18
d = 2.406 Å, intensity 46
d = 2.127 Å, intensity 16
d = 2.082 Å, intensity 15
d = 1.701 Å, intensity 16

***

# 7
# AcScAsO5
Theoretical PXRD pattern, copper Kα. Input: DFT lattice parameters and positions (PBE).
Kinematic intensities with the Lorentz-polarization factor, no thermal factor.

Cell and atoms:
```
16
Lattice="3.704 -4.655 0.000 3.704 4.655 0.000 -3.500 0.000 7.056" Properties=species:S:1:pos:R:3 pbc="T T T"
Ac 1.079 2.973 5.292
Ac 2.829 -2.973 1.764
Sc 3.704 0.000 0.000
Sc 1.954 0.000 3.528
As 2.829 2.846 1.764
As 1.079 -2.846 5.292
O -1.800 0.638 6.362
O 1.455 2.041 2.905
O -0.050 -0.638 2.834
O 4.204 2.041 0.623
O 1.079 0.563 5.292
O 2.829 -0.563 1.764
O -0.295 -2.041 6.432
O 3.959 0.638 4.221
O 2.454 -2.041 4.151
O 5.709 -0.638 0.694
```

Most intense lines, 2θ from 10° to 90°, in order of rising 2θ:
d = 5.319 Å, intensity 46
d = 4.655 Å, intensity 27
d = 3.612 Å, intensity 41
d = 3.528 Å, intensity 35
d = 3.318 Å, intensity 61
d = 3.240 Å, intensity 35
d = 2.811 Å, intensity 100
d = 2.433 Å, intensity 29

***

# 8
# Ca4NdDy3Te8
Theoretical PXRD pattern, copper Kα. Input: DFT lattice parameters and positions (PBE).
Kinematic intensities with the Lorentz-polarization factor, no thermal factor.

Cell and atoms:
```
16
Lattice="4.408 2.545 7.365 -4.408 2.545 7.365 0.000 -5.090 7.365" Properties=species:S:1:pos:R:3 pbc="T T T"
Ca 0.000 0.000 0.000
Ca -2.204 -1.272 7.365
Ca -2.204 1.272 14.729
Ca 0.000 2.545 7.365
Nd 0.000 0.000 11.047
Dy -4.408 0.000 11.047
Dy -2.204 1.272 3.682
Dy 2.204 1.272 3.682
Te -2.241 -1.294 12.877
Te 0.000 0.000 5.481
Te 0.000 -2.588 9.218
Te -2.241 1.294 9.218
Te 2.241 -1.294 12.877
Te 0.000 2.588 12.877
Te 0.000 0.000 16.613
Te 2.241 1.294 9.218
```

Most intense lines, 2θ from 10° to 90°, in order of rising 2θ:
d = 7.365 Å, intensity 16
d = 3.140 Å, intensity 100
d = 2.238 Å, intensity 39
d = 2.204 Å, intensity 37
d = 1.804 Å, intensity 20
d = 1.570 Å, intensity 13
d = 1.413 Å, intensity 17
d = 1.396 Å, intensity 17

***

# 9
# CsTl2PbCl8
Theoretical PXRD pattern, copper Kα. Input: DFT lattice parameters and positions (PBE).
Kinematic intensities with the Lorentz-polarization factor, no thermal factor.

Cell and atoms:
```
12
Lattice="3.531 2.039 9.899 -3.531 2.039 9.899 0.000 -4.077 9.899" Properties=species:S:1:pos:R:3 pbc="T T T"
Cs 0.000 0.000 0.000
Tl 0.000 0.000 7.383
Tl 0.000 0.000 22.312
Pb 0.000 0.000 14.848
Cl -2.384 0.183 13.163
Cl -1.350 -1.973 16.532
Cl 0.000 0.000 9.911
Cl 1.034 -2.156 13.163
Cl -1.034 2.156 16.532
Cl 0.000 0.000 19.785
Cl 1.350 1.973 13.163
Cl 2.384 -0.183 16.532
```

Most intense lines, 2θ from 10° to 90°, in order of rising 2θ:
d = 4.720 Å, intensity 100
d = 3.531 Å, intensity 54
d = 3.173 Å, intensity 42
d = 2.827 Å, intensity 34
d = 2.207 Å, intensity 32
d = 2.039 Å, intensity 24
d = 2.027 Å, intensity 37
d = 1.962 Å, intensity 21

***

# 10
# K2NpTiS4
Theoretical PXRD pattern, copper Kα. Input: DFT lattice parameters and positions (PBE).
Kinematic intensities with the Lorentz-polarization factor, no thermal factor.

Cell and atoms:
```
16
Lattice="8.522 0.000 0.000 0.000 9.316 0.000 0.000 0.000 5.838" Properties=species:S:1:pos:R:3 pbc="T T T"
K 1.925 1.236 0.000
K 2.336 8.080 2.919
K 6.186 8.080 2.919
K 6.597 1.236 0.000
Np 0.000 3.634 2.897
Np 4.261 5.682 5.816
Ti 0.000 6.142 5.464
Ti 4.261 3.174 2.546
S 0.000 3.820 5.814
S 0.000 6.234 3.140
S 2.046 7.296 0.015
S 2.215 2.020 2.933
S 4.261 3.082 0.221
S 4.261 5.496 2.895
S 6.307 2.020 2.933
S 6.476 7.296 0.015
```

Most intense lines, 2θ from 10° to 90°, in order of rising 2θ:
d = 4.947 Å, intensity 36
d = 4.816 Å, intensity 45
d = 4.273 Å, intensity 78
d = 3.875 Å, intensity 100
d = 3.641 Å, intensity 58
d = 2.919 Å, intensity 82
d = 2.331 Å, intensity 59
d = 2.306 Å, intensity 38

***

# 11
# In3Ag3PtO8
Theoretical PXRD pattern, copper Kα. Input: DFT lattice parameters and positions (PBE).
Kinematic intensities with the Lorentz-polarization factor, no thermal factor.

Cell and atoms:
```
15
Lattice="5.649 -3.263 0.000 5.649 3.263 0.000 -3.805 0.000 5.901" Properties=species:S:1:pos:R:3 pbc="T T T"
In 0.000 0.000 0.000
In 2.824 1.632 0.000
In 2.824 -1.632 0.000
Ag 0.922 1.632 2.951
Ag 0.922 -1.632 2.951
Ag 3.746 0.000 2.951
Pt 5.649 0.000 0.000
O 1.884 0.000 1.121
O 4.781 1.506 1.097
O 2.711 1.506 4.804
O 0.105 0.000 4.806
O 7.388 0.000 1.095
O 4.781 -1.506 1.097
O 2.711 -1.506 4.804
O 5.609 0.000 4.780
```

Most intense lines, 2θ from 10° to 90°, in order of rising 2θ:
d = 5.901 Å, intensity 27
d = 5.383 Å, intensity 38
d = 2.951 Å, intensity 46
d = 2.691 Å, intensity 100
d = 2.385 Å, intensity 82
d = 2.374 Å, intensity 41
d = 1.739 Å, intensity 27
d = 1.631 Å, intensity 38

***

# 12
# Pm3Sm6Er
Theoretical PXRD pattern, copper Kα. Input: DFT lattice parameters and positions (PBE).
Kinematic intensities with the Lorentz-polarization factor, no thermal factor.

Cell and atoms:
```
20
Lattice="5.480 -9.598 0.000 5.480 9.598 0.000 0.000 0.000 6.452" Properties=species:S:1:pos:R:3 pbc="T T T"
Pm 5.480 7.407 3.226
Pm 3.576 2.216 0.739
Pm 3.576 -2.216 3.965
Pm 7.384 2.216 0.739
Pm 7.384 -2.216 3.965
Pm 5.480 -7.407 0.000
Sm 2.566 4.017 4.594
Sm 1.860 0.832 3.372
Sm 1.860 -0.832 0.146
Sm 5.480 5.288 5.981
Sm 2.566 -4.017 1.368
Sm 5.480 0.690 4.591
Sm 5.480 -0.690 1.365
Sm 8.394 4.017 4.594
Sm 5.480 -5.288 2.755
Sm 9.100 0.832 3.372
Sm 9.100 -0.832 0.146
Sm 8.394 -4.017 1.368
Er 5.480 3.700 2.968
Er 5.480 -3.700 6.194
```

Most intense lines, 2θ from 10° to 90°, in order of rising 2θ:
d = 3.153 Å, intensity 78
d = 3.136 Å, intensity 42
d = 3.056 Å, intensity 29
d = 2.866 Å, intensity 100
d = 2.847 Å, intensity 54
d = 2.782 Å, intensity 32
d = 2.671 Å, intensity 71
d = 2.647 Å, intensity 27